Structure and simulated X-ray diffraction stick pattern of RbZr (DFT lattice parameters and positions (PBE); Cu Kα).

Main lines, in order of falling intensity (2θ from 15° to 90°):
21.5°, I 100
32.7°, I 49
34.1°, I 45
31.9°, I 41
34.3°, I 36
27.9°, I 35
31.8°, I 33
38.8°, I 32
47.5°, I 26
44.9°, I 25

Structural model:
```
RbZr
1.0
3.3806 0.0000 0.0000
0.0000 5.2514 0.0000
0.0000 0.0000 20.0402
Rb Zr
4 4
direct
0.0000 0.0000 0.0000
0.0000 0.5000 0.1823
0.5000 0.0000 0.3649
0.5000 0.5000 0.5477
0.0000 0.0000 0.6738
0.0000 0.5000 0.7492
0.5000 0.0000 0.7989
0.5000 0.5000 0.8742
```